Theoretical powder diffractogram
Compound: LiTlW
Radiation: a wavelength of 1.5418 Å
Structure: a crystal structure in Alexandria, relaxed with PBE
Neutral-atom scattering factors, no anomalous dispersion.

a b c (Å): 2.960 2.960 7.410
angles (deg): 90.00 90.00 120.00
Positions (direct):
1 Li 0.000 0.000 0.000
2 Tl 0.667 0.333 0.332
3 W 0.333 0.667 0.681

Main lines, sorted by position (2θ from 5° to 70°):
2theta, I/Imax
11.9, 73
24.0, 25
35.0, 21
36.4, 27
37.1, 100
42.9, 60
51.4, 15
61.8, 25
62.7, 3
62.8, 17
64.2, 6
68.2, 9

---

Theoretical powder diffractogram
Compound: LaPrDy3Tm
Radiation: a wavelength of 1.5418 Å
Structure: a crystal structure in Alexandria, relaxed with PBE
Neutral-atom scattering factors, no anomalous dispersion.

a b c (Å): 6.428 6.428 11.814
angles (deg): 90.00 90.00 125.25
Positions (direct):
1 La 0.006 0.994 0.750
2 La 0.994 0.006 0.250
3 Pr 0.500 0.500 0.000
4 Pr 0.500 0.500 0.500
5 Dy 0.175 0.825 0.004
6 Dy 0.175 0.825 0.496
7 Dy 0.325 0.675 0.750
8 Dy 0.675 0.325 0.250
9 Dy 0.825 0.175 0.504
10 Dy 0.825 0.175 0.996
11 Tm 0.329 0.671 0.250
12 Tm 0.671 0.329 0.750

Main lines, sorted by position (2θ from 5° to 70°):
2theta, I/Imax
15.5, 1
30.2, 58
31.8, 100
34.2, 1
43.3, 22
45.3, 1
47.8, 8
54.7, 43
57.6, 18
62.9, 7
64.4, 1
66.5, 11

---

Theoretical powder diffractogram
Compound: Pm2Pr5Sb5
Radiation: a wavelength of 1.5418 Å
Structure: a crystal structure in Alexandria, relaxed with PBE
Neutral-atom scattering factors, no anomalous dispersion.

a b c (Å): 7.704 7.704 13.102
angles (deg): 107.69 107.69 33.87
Positions (direct):
1 Pm 0.039 0.039 0.285
2 Pm 0.961 0.961 0.715
3 Pr 0.271 0.271 0.153
4 Pr 0.340 0.340 0.458
5 Pr 0.500 0.500 0.000
6 Pr 0.660 0.660 0.542
7 Pr 0.729 0.729 0.847
8 Sb 0.000 0.000 0.500
9 Sb 0.120 0.120 0.929
10 Sb 0.310 0.310 0.706
11 Sb 0.690 0.690 0.294
12 Sb 0.880 0.880 0.071

Main lines, sorted by position (2θ from 5° to 70°):
2theta, I/Imax
26.9, 81
27.5, 47
27.6, 63
28.2, 100
28.3, 78
30.1, 62
31.1, 61
34.0, 43
40.2, 96
40.4, 48
40.6, 53
58.3, 38

---

Theoretical powder diffractogram
Compound: Rb2PmI4
Radiation: a wavelength of 1.5418 Å
Structure: a crystal structure in Alexandria, relaxed with PBE
Neutral-atom scattering factors, no anomalous dispersion.

a b c (Å): 7.865 7.865 7.865
angles (deg): 112.20 112.20 104.14
Positions (direct):
1 Rb 0.250 0.750 0.500
2 Rb 0.750 0.250 0.500
3 Pm 0.000 0.000 0.000
4 I 0.245 0.245 0.496
5 I 0.251 0.755 0.000
6 I 0.749 0.749 0.504
7 I 0.755 0.251 0.000

Main lines, sorted by position (2θ from 5° to 70°):
2theta, I/Imax
13.6, 40
18.4, 50
23.3, 52
27.5, 94
28.8, 100
34.4, 42
37.2, 25
37.4, 30
41.2, 37
47.7, 49
50.2, 34
56.7, 29

---

Theoretical powder diffractogram
Compound: K3HSe2O8
Radiation: a wavelength of 1.5418 Å
Structure: a crystal structure in Alexandria, relaxed with PBE
Neutral-atom scattering factors, no anomalous dispersion.

a b c (Å): 8.294 8.294 10.270
angles (deg): 103.83 103.83 43.36
Positions (direct):
1 K 0.062 0.562 0.099
2 K 0.217 0.783 0.500
3 K 0.396 0.836 0.198
4 K 0.562 0.062 0.599
5 K 0.783 0.217 0.000
6 K 0.836 0.396 0.698
7 H 0.284 0.334 0.358
8 H 0.334 0.284 0.858
9 Se 0.200 0.645 0.811
10 Se 0.417 0.965 0.886
11 Se 0.645 0.200 0.311
12 Se 0.965 0.417 0.386
13 O 0.130 0.484 0.413
14 O 0.141 0.480 0.787
15 O 0.149 0.154 0.442
16 O 0.154 0.149 0.942
17 O 0.208 0.720 0.977
18 O 0.410 0.897 0.720
19 O 0.465 0.468 0.757
20 O 0.468 0.465 0.257
21 O 0.480 0.141 0.287
22 O 0.484 0.130 0.913
23 O 0.632 0.733 0.971
24 O 0.720 0.208 0.477
25 O 0.733 0.632 0.471
26 O 0.882 0.989 0.226
27 O 0.897 0.410 0.220
28 O 0.989 0.882 0.726

Main lines, sorted by position (2θ from 5° to 70°):
2theta, I/Imax
17.2, 43
17.9, 27
18.8, 21
23.9, 29
26.0, 57
26.4, 100
29.1, 42
29.9, 86
39.4, 43
41.2, 23
43.7, 22
62.0, 20

---

Theoretical powder diffractogram
Compound: Cs2HSeCl6
Radiation: a wavelength of 1.5418 Å
Structure: a crystal structure in Alexandria, relaxed with PBE
Neutral-atom scattering factors, no anomalous dispersion.

a b c (Å): 7.526 7.526 7.526
angles (deg): 125.04 125.04 81.47
Positions (direct):
1 Cs 0.250 0.750 0.500
2 Cs 0.750 0.250 0.500
3 H 0.000 0.000 0.000
4 Se 0.500 0.500 0.000
5 Cl 0.241 0.241 0.483
6 Cl 0.241 0.759 0.000
7 Cl 0.287 0.287 0.000
8 Cl 0.713 0.713 0.000
9 Cl 0.759 0.241 0.000
10 Cl 0.759 0.759 0.517

Main lines, sorted by position (2θ from 5° to 70°):
2theta, I/Imax
14.9, 28
23.9, 90
25.7, 36
30.1, 100
31.4, 42
36.6, 59
41.0, 17
44.2, 35
49.0, 44
52.7, 19
61.9, 22
62.6, 20

---

Theoretical powder diffractogram
Compound: Sm7Ag2Ge2
Radiation: a wavelength of 1.5418 Å
Structure: a crystal structure in Alexandria, relaxed with PBE
Neutral-atom scattering factors, no anomalous dispersion.

a b c (Å): 6.722 6.722 7.505
angles (deg): 90.00 90.00 108.82
Positions (direct):
1 Sm 0.000 0.000 0.000
2 Sm 0.000 0.500 0.294
3 Sm 0.000 0.500 0.706
4 Sm 0.500 0.000 0.294
5 Sm 0.500 0.000 0.706
6 Sm 0.500 0.500 0.266
7 Sm 0.500 0.500 0.734
8 Ag 0.286 0.714 0.000
9 Ag 0.714 0.286 0.000
10 Ge 0.169 0.169 0.500
11 Ge 0.831 0.831 0.500

Main lines, sorted by position (2θ from 5° to 70°):
2theta, I/Imax
25.7, 51
27.6, 54
28.0, 70
32.8, 71
33.1, 21
36.2, 53
37.0, 100
42.1, 20
46.2, 19
46.4, 22
49.4, 20
58.0, 19

---

Theoretical powder diffractogram
Compound: Na2SrMnBr6
Radiation: a wavelength of 1.5418 Å
Structure: a crystal structure in Alexandria, relaxed with PBE
Neutral-atom scattering factors, no anomalous dispersion.

a b c (Å): 7.882 7.882 7.882
angles (deg): 56.00 56.00 56.00
Positions (direct):
1 Na 0.000 0.000 0.000
2 Na 0.495 0.495 0.495
3 Sr 0.198 0.198 0.198
4 Mn 0.693 0.693 0.693
5 Br 0.060 0.441 0.794
6 Br 0.319 0.898 0.603
7 Br 0.441 0.794 0.060
8 Br 0.603 0.319 0.898
9 Br 0.794 0.060 0.441
10 Br 0.898 0.603 0.319

Main lines, sorted by position (2θ from 5° to 70°):
2theta, I/Imax
16.5, 30
26.9, 11
27.6, 100
33.3, 13
36.4, 47
37.4, 7
41.5, 10
42.3, 34
48.0, 24
51.3, 11
57.0, 10
68.6, 7